# 1
This entry pairs a crystal structure of PuSn with its simulated X-ray powder pattern. Radiation: Cu Kα (λ = 1.5418 Å). Structure: a crystal structure in OQMD, relaxed with GGA-PBE.
Kinematic intensities with the Lorentz-polarization factor, no thermal factor.

Atomic structure:
```
data_PuSn
_chemical_formula_sum 'Pu1 Sn1'
_symmetry_space_group_name_H-M 'P -6 m 2'
_symmetry_Int_Tables_number 187
_symmetry_space_group_name_Hall 'P -6 2'
_cell_length_a 3.4296
_cell_length_b 3.4296
_cell_length_c 5.3256
_cell_angle_alpha 90.00
_cell_angle_beta 90.00
_cell_angle_gamma 120.00
loop_
_atom_site_label
_atom_site_type_symbol
_atom_site_fract_x
_atom_site_fract_y
_atom_site_fract_z
_atom_site_occupancy
Pu1 Pu 0.0000 0.0000 0.0000 1
Sn1 Sn 0.6667 0.3333 0.5000 1
```

Principal peaks in the range 5 to 70 degrees two-theta, in order of rising 2θ:
- 30.09 deg, d 2.970, I = 29.9
- 33.66 deg, d 2.663, I = 23.1
- 34.58 deg, d 2.594, I = 100.0
- 45.76 deg, d 1.983, I = 19.5
- 53.43 deg, d 1.715, I = 19.3
- 60.79 deg, d 1.524, I = 20.5
- 64.65 deg, d 1.442, I = 22.1
- 65.22 deg, d 1.430, I = 16.7



# 2
This entry pairs a crystal structure of Tb2Pu with its simulated X-ray powder pattern. Radiation: Cu Kα (λ = 1.5418 Å). Structure: a crystal structure in OQMD, relaxed with GGA-PBE.
Kinematic intensities with the Lorentz-polarization factor, no thermal factor.

Atomic structure:
Unit cell a=11.9766 b=11.9766 c=11.9766 alpha=90.00 beta=90.00 gamma=90.00
Space group Fd-3m (No. 227, origin choice 2)
Symmetry-distinct sites (fractional):
Tb1 0.0000 0.0000 0.0000
Pu1 0.1250 0.1250 0.1250

Principal peaks in the range 5 to 70 degrees two-theta, in order of rising 2θ:
- 12.80 deg, d 6.915, I = 100.0
- 20.98 deg, d 4.234, I = 25.6
- 25.77 deg, d 3.457, I = 19.4
- 32.59 deg, d 2.748, I = 33.3
- 36.76 deg, d 2.445, I = 12.7
- 42.71 deg, d 2.117, I = 23.1
- 44.77 deg, d 2.024, I = 28.1
- 54.73 deg, d 1.677, I = 15.7



# 3
This entry pairs a crystal structure of PuTe2 with its simulated X-ray powder pattern. Radiation: Cu Kα (λ = 1.5418 Å). Structure: a crystal structure in OQMD, relaxed with GGA-PBE.
Kinematic intensities with the Lorentz-polarization factor, no thermal factor.

Atomic structure:
```
data_PuTe2
_chemical_formula_sum 'Pu4 Te8'
_symmetry_space_group_name_H-M 'P 1 21/c 1'
_symmetry_Int_Tables_number 14
_symmetry_space_group_name_Hall '-P 2ybc'
_cell_length_a 8.9603
_cell_length_b 4.4424
_cell_length_c 8.8608
_cell_angle_alpha 90.00
_cell_angle_beta 90.06
_cell_angle_gamma 90.00
loop_
_atom_site_label
_atom_site_type_symbol
_atom_site_fract_x
_atom_site_fract_y
_atom_site_fract_z
_atom_site_occupancy
Pu1 Pu 0.2248 0.2491 0.3745 1
Te1 Te 0.1367 0.7494 0.1245 1
Te2 Te 0.5001 0.2473 0.6250 1
```

Principal peaks in the range 5 to 70 degrees two-theta, in order of rising 2θ:
- 22.36 deg, d 3.976, I = 41.8
- 28.45 deg, d 3.137, I = 34.8
- 29.92 deg, d 2.987, I = 31.9
- 30.18 deg, d 2.961, I = 65.0
- 34.92 deg, d 2.570, I = 100.0
- 36.26 deg, d 2.478, I = 51.3
- 40.62 deg, d 2.221, I = 28.9
- 40.73 deg, d 2.215, I = 28.7